No. 1
Theoretical X-ray powder pattern of NdEr7Th2 for Cu Kα, 1.54184 Å, from a crystal structure in Alexandria, relaxed with GGA-PBE.
Peak positions follow from Bragg's law for the DFT cell and can differ from measured ones.

a = 12.350 Å, b = 11.342 Å, c = 5.530 Å
α = 90.00°, β = 116.20°, γ = 90.00°
Space group C2/m (No. 12)
Unique sites:
Nd (0.000, 0.000, 0.000) [2 per cell]
Er (0.000, 0.335, 0.000) [4 per cell]
Er (0.000, 0.500, 0.500) [2 per cell]
Er (0.247, 0.348, 0.747) [8 per cell]
Th (0.000, 0.156, 0.500) [4 per cell]

The 6 most intense peaks (10 to 90 degrees two-theta), by angle:
two_theta, I/Imax
32.3, 100
32.9, 92
33.0, 91
46.2, 19
58.0, 37
59.2, 31

No. 2
Theoretical X-ray powder pattern of NiI for Cu Kα, 1.54184 Å, from a crystal structure in Alexandria, relaxed with GGA-PBE.
Peak positions follow from Bragg's law for the DFT cell and can differ from measured ones.

a = 4.0686 Å, b = 4.0686 Å, c = 6.8607 Å
α = 90.00°, β = 90.00°, γ = 120.00°
Space group P6_3mc (No. 186)
Unique sites:
Ni (0.3333, 0.6667, 0.0000) [2 per cell]
I (0.3333, 0.6667, 0.3662) [2 per cell]

The 6 most intense peaks (10 to 90 degrees two-theta), by angle:
two_theta, I/Imax
25.3, 91
26.0, 57
28.5, 100
44.5, 77
47.4, 88
52.3, 48

No. 3
Theoretical X-ray powder pattern of Pr3Er8Tm2 for Cu Kα, 1.54184 Å, from a crystal structure in Alexandria, relaxed with GGA-PBE.
Peak positions follow from Bragg's law for the DFT cell and can differ from measured ones.

a = 13.228 Å, b = 11.984 Å, c = 11.983 Å
α = 90.00°, β = 118.42°, γ = 90.00°
Space group C2/c (No. 15)
Unique sites:
Pr (0.000, 0.000, 0.000) [4 per cell]
Pr (0.000, 0.131, 0.250) [4 per cell]
Pr (0.000, 0.449, 0.750) [4 per cell]
Er (0.115, 0.192, 0.726) [8 per cell]
Er (0.205, 0.350, 0.391) [8 per cell]
Er (0.225, 0.127, 0.032) [8 per cell]
Er (0.227, 0.444, 0.674) [8 per cell]
Tm (0.047, 0.338, 0.052) [8 per cell]

The 6 most intense peaks (10 to 90 degrees two-theta), by angle:
two_theta, I/Imax
30.8, 99
31.0, 58
31.2, 74
31.5, 100
32.0, 26
38.2, 29

No. 4
Theoretical X-ray powder pattern of Sc2TlTeO8 for Cu Kα, 1.54184 Å, from a crystal structure in Alexandria, relaxed with GGA-PBE.
Peak positions follow from Bragg's law for the DFT cell and can differ from measured ones.

a = 6.735 Å, b = 6.923 Å, c = 6.658 Å
α = 90.00°, β = 90.00°, γ = 90.00°
Space group Cmmm (No. 65)
Unique sites:
Sc (0.000, 0.000, 0.250) [4 per cell]
Tl (0.000, 0.500, 0.000) [2 per cell]
Te (0.000, 0.500, 0.500) [2 per cell]
O (0.000, 0.306, 0.288) [8 per cell]
O (0.184, 0.000, 0.000) [4 per cell]
O (0.210, 0.000, 0.500) [4 per cell]

The 6 most intense peaks (10 to 90 degrees two-theta), by angle:
two_theta, I/Imax
18.4, 79
25.7, 63
26.5, 58
32.7, 100
50.0, 42
50.8, 41

No. 5
Theoretical X-ray powder pattern of Pm3Pr5Sc for Cu Kα, 1.54184 Å, from a crystal structure in Alexandria, relaxed with GGA-PBE.
Peak positions follow from Bragg's law for the DFT cell and can differ from measured ones.

a = 9.500 Å, b = 9.500 Å, c = 14.055 Å
α = 90.00°, β = 90.00°, γ = 90.00°
Space group I4/mcm (No. 140)
Unique sites:
Pm (0.000, 0.000, 0.250) [4 per cell]
Pm (0.111, 0.389, 0.000) [8 per cell]
Pr (0.000, 0.000, 0.000) [4 per cell]
Pr (0.200, 0.300, 0.364) [16 per cell]
Sc (0.000, 0.500, 0.250) [4 per cell]

The 6 most intense peaks (10 to 90 degrees two-theta), by angle:
two_theta, I/Imax
26.5, 59
28.4, 79
29.7, 43
31.7, 100
34.6, 33
39.6, 26

No. 6
Theoretical X-ray powder pattern of Li4Ho3ErS8 for Cu Kα, 1.54184 Å, from a crystal structure in Alexandria, relaxed with GGA-PBE.
Peak positions follow from Bragg's law for the DFT cell and can differ from measured ones.

a = 7.7801 Å, b = 7.7801 Å, c = 18.5081 Å
α = 90.00°, β = 90.00°, γ = 120.00°
Space group R-3m (No. 166, hexagonal axes)
Unique sites:
Li (0.0000, 0.0000, 0.0000) [3 per cell]
Li (0.0000, 0.5000, 0.0000) [9 per cell]
Ho (0.0000, 0.5000, 0.5000) [9 per cell]
Er (0.0000, 0.0000, 0.5000) [3 per cell]
S (0.0000, 0.0000, 0.2499) [6 per cell]
S (0.0011, 0.5005, 0.2498) [18 per cell]

The 6 most intense peaks (10 to 90 degrees two-theta), by angle:
two_theta, I/Imax
14.4, 100
26.9, 69
32.9, 92
36.0, 32
46.7, 33
47.7, 31

No. 7
Theoretical X-ray powder pattern of BaHgBi2Pb2 for Cu Kα, 1.54184 Å, from a crystal structure in Alexandria, relaxed with GGA-PBE.
Peak positions follow from Bragg's law for the DFT cell and can differ from measured ones.

a = 7.259 Å, b = 10.847 Å, c = 5.283 Å
α = 90.00°, β = 90.00°, γ = 90.00°
Space group Pnnm (No. 58)
Unique sites:
Ba (0.000, 0.000, 0.000) [2 per cell]
Hg (0.000, 0.500, 0.500) [2 per cell]
Bi (0.247, 0.321, 0.000) [4 per cell]
Pb (0.188, 0.649, 0.000) [4 per cell]

The 6 most intense peaks (10 to 90 degrees two-theta), by angle:
two_theta, I/Imax
29.6, 38
29.9, 100
31.0, 67
33.9, 38
45.7, 24
52.1, 18

No. 8
Theoretical X-ray powder pattern of Ca2TlCdF8 for Cu Kα, 1.54184 Å, from a crystal structure in Alexandria, relaxed with GGA-PBE.
Peak positions follow from Bragg's law for the DFT cell and can differ from measured ones.

a = 3.960 Å, b = 5.576 Å, c = 7.941 Å
α = 90.00°, β = 90.00°, γ = 90.00°
Space group Pmmm (No. 47)
Unique sites:
Ca (0.000, 0.000, 0.241) [2 per cell]
Tl (0.500, 0.500, 0.500) [1 per cell]
Cd (0.500, 0.500, 0.000) [1 per cell]
F (0.000, 0.239, 0.500) [2 per cell]
F (0.000, 0.251, 0.000) [2 per cell]
F (0.500, 0.243, 0.238) [4 per cell]

The 6 most intense peaks (10 to 90 degrees two-theta), by angle:
two_theta, I/Imax
15.9, 27
22.4, 27
27.6, 100
35.8, 18
45.9, 57
54.3, 29

No. 9
Theoretical X-ray powder pattern of K5Rb2NaHg2 for Cu Kα, 1.54184 Å, from a crystal structure in Alexandria, relaxed with GGA-PBE.
Peak positions follow from Bragg's law for the DFT cell and can differ from measured ones.

a = 14.755 Å, b = 14.755 Å, c = 5.135 Å
α = 90.00°, β = 90.00°, γ = 90.00°
Space group P4/mbm (No. 127)
Unique sites:
K (0.000, 0.500, 0.000) [2 per cell]
K (0.068, 0.209, 0.000) [8 per cell]
Rb (0.174, 0.674, 0.500) [4 per cell]
Na (0.000, 0.000, 0.500) [2 per cell]
Hg (0.127, 0.373, 0.500) [4 per cell]

The 6 most intense peaks (10 to 90 degrees two-theta), by angle:
two_theta, I/Imax
13.4, 57
19.0, 30
25.6, 31
25.8, 100
27.9, 73
29.8, 55

No. 10
Theoretical X-ray powder pattern of CsPuBrCl3 for Cu Kα, 1.54184 Å, from a crystal structure in Alexandria, relaxed with GGA-PBE.
Peak positions follow from Bragg's law for the DFT cell and can differ from measured ones.

a = 15.474 Å, b = 7.848 Å, c = 7.456 Å
α = 90.00°, β = 92.26°, γ = 90.00°
Space group C2/m (No. 12)
Unique sites:
Cs (0.209, 0.000, 0.261) [4 per cell]
Pu (0.039, 0.500, 0.285) [4 per cell]
Br (0.000, 0.252, 0.000) [4 per cell]
Cl (0.100, 0.292, 0.563) [8 per cell]
Cl (0.200, 0.500, 0.175) [4 per cell]

The 6 most intense peaks (10 to 90 degrees two-theta), by angle:
two_theta, I/Imax
11.4, 35
12.6, 100
20.6, 35
24.2, 34
28.4, 34
33.2, 50

No. 11
Theoretical X-ray powder pattern of NaH3Pd2 for Cu Kα, 1.54184 Å, from a crystal structure in Alexandria, relaxed with GGA-PBE.
Peak positions follow from Bragg's law for the DFT cell and can differ from measured ones.

a = 9.224 Å, b = 5.670 Å, c = 5.467 Å
α = 90.00°, β = 113.85°, γ = 90.00°
Space group C2/c (No. 15)
Unique sites:
Na (0.000, 0.120, 0.250) [4 per cell]
H (0.000, 0.500, 0.000) [4 per cell]
H (0.226, 0.116, 0.820) [8 per cell]
Pd (0.166, 0.424, 0.813) [8 per cell]

The 6 most intense peaks (10 to 90 degrees two-theta), by angle:
two_theta, I/Imax
18.9, 76
33.5, 42
35.6, 100
36.4, 74
36.7, 58
40.6, 36

No. 12
Theoretical X-ray powder pattern of ScNbNi for Cu Kα, 1.54184 Å, from a crystal structure in Alexandria, relaxed with GGA-PBE.
Peak positions follow from Bragg's law for the DFT cell and can differ from measured ones.

a = 5.408 Å, b = 7.265 Å, c = 5.296 Å
α = 90.00°, β = 90.00°, γ = 90.00°
Space group Ima2 (No. 46)
Unique sites:
Sc (0.250, 0.132, 0.000) [4 per cell]
Nb (0.250, 0.749, 0.249) [4 per cell]
Ni (0.000, 0.000, 0.498) [4 per cell]

The 6 most intense peaks (10 to 90 degrees two-theta), by angle:
two_theta, I/Imax
20.5, 67
39.4, 57
39.9, 100
40.8, 43
41.6, 73
42.2, 63

No. 13
Theoretical X-ray powder pattern of LiTl2Au for Cu Kα, 1.54184 Å, from a crystal structure in Alexandria, relaxed with GGA-PBE.
Peak positions follow from Bragg's law for the DFT cell and can differ from measured ones.

a = 3.453 Å, b = 3.620 Å, c = 7.342 Å
α = 90.00°, β = 92.27°, γ = 90.00°
Space group Pm (No. 6)
Unique sites:
Li (0.000, 0.000, 0.000) [1 per cell]
Tl (0.000, 0.000, 0.586) [1 per cell]
Tl (0.503, 0.500, 0.261) [1 per cell]
Au (0.491, 0.500, 0.853) [1 per cell]

The 6 most intense peaks (10 to 90 degrees two-theta), by angle:
two_theta, I/Imax
27.5, 52
34.8, 84
35.0, 40
36.0, 100
36.5, 38
53.1, 37